The following is a simulated X-ray diffraction stick pattern of GdDySi4Os2. It was derived from a structure optimized by DFT (GGA-PBE), using Cu Kα X-rays.

Top 10 peaks for 2θ from 15° to 90°, sorted by position:
2θ 30.01, I = 51; 2θ 30.52, I = 100; 2θ 31.29, I = 79; 2θ 33.54, I = 85; 2θ 35.79, I = 56; 2θ 40.43, I = 51; 2θ 40.83, I = 29; 2θ 44.21, I = 40; 2θ 50.99, I = 22; 2θ 58.14, I = 28

```
GdDySi4Os2
1.0
4.4300 0.0000 0.0000
0.0000 4.0970 0.0000
-1.6778 0.0000 7.9790
Gd Dy Si Os
1 1 4 2
Cartesian
0.0000 0.0000 0.0000 Gd
0.1138 2.0485 3.2315 Dy
-0.0512 0.0000 5.5485 Si
2.2541 2.0485 0.8940 Si
2.2813 0.0000 2.3228 Si
2.9079 2.0485 5.6377 Si
0.7217 2.0485 6.5172 Os
2.1331 0.0000 4.6706 Os
```

=====

The following is a simulated X-ray diffraction stick pattern of Gd2DyPdPt2Pb3. It was derived from a structure optimized by DFT (GGA-PBE), using Cu Kα X-rays.

Top 10 peaks for 2θ from 15° to 90°, sorted by position:
2θ 32.20, I = 100; 2θ 34.92, I = 80; 2θ 35.32, I = 56; 2θ 40.24, I = 43; 2θ 42.18, I = 34; 2θ 45.55, I = 26; 2θ 58.92, I = 26; 2θ 62.37, I = 24; 2θ 64.81, I = 35; 2θ 83.68, I = 11

```
Gd2DyPdPt2Pb3
1.0
3.9831 0.0000 0.0000
0.0000 6.7208 3.8840
0.0000 -6.7208 3.8840
Gd Dy Pd Pt Pb
2 1 1 2 3
Cartesian
0.0000 -3.9800 3.8840 Gd
0.0000 3.9800 3.8840 Gd
0.0000 0.0000 4.7522 Dy
0.0000 0.0000 1.5963 Pd
1.9915 -2.2231 5.4611 Pt
1.9915 2.2231 5.4611 Pt
1.9915 -1.7491 2.5948 Pb
1.9915 1.7491 2.5948 Pb
1.9915 0.0000 7.3319 Pb
```

=====

The following is a simulated X-ray diffraction stick pattern of Gd3DyPt4. It was derived from a structure optimized by DFT (GGA-PBE), using Cu Kα X-rays.

Top 10 peaks for 2θ from 15° to 90°, sorted by position:
2θ 20.21, I = 18; 2θ 32.08, I = 72; 2θ 34.45, I = 44; 2θ 35.97, I = 100; 2θ 39.86, I = 96; 2θ 39.98, I = 46; 2θ 41.50, I = 21; 2θ 53.65, I = 25; 2θ 69.44, I = 22; 2θ 72.38, I = 16

```
Gd3DyPt4
1.0
5.5986 0.0000 0.0000
0.0000 4.5276 0.0000
-0.0219 0.0000 7.0847
Gd Dy Pt
3 1 4
Cartesian
0.0000 0.0000 0.0000 Gd
1.2216 0.0000 3.5342 Gd
4.0146 2.2638 4.5004 Gd
2.7957 2.2638 0.9574 Dy
0.0783 2.2638 1.9258 Pt
1.1375 2.2638 5.4827 Pt
2.8597 0.0000 6.1230 Pt
3.9337 0.0000 2.5507 Pt
```

=====

The following is a simulated X-ray diffraction stick pattern of Gd3Dy2ScTe2Pt. It was derived from a structure optimized by DFT (GGA-PBE), using Cu Kα X-rays.

Top 10 peaks for 2θ from 15° to 90°, sorted by position:
2θ 31.10, I = 100; 2θ 33.00, I = 46; 2θ 33.54, I = 59; 2θ 33.65, I = 54; 2θ 37.44, I = 38; 2θ 40.22, I = 34; 2θ 45.55, I = 27; 2θ 60.38, I = 19; 2θ 60.54, I = 21; 2θ 60.87, I = 27

```
Gd3Dy2ScTe2Pt
1.0
3.9826 0.0000 0.0000
0.0000 7.1640 4.1691
0.0000 -7.1640 4.1691
Gd Dy Sc Te Pt
3 2 1 2 1
Cartesian
0.0000 0.0000 0.0000 Gd
0.0000 -2.8354 3.2600 Gd
0.0000 2.8354 3.2600 Gd
1.9913 -1.7163 5.9458 Dy
1.9913 1.7163 5.9458 Dy
1.9913 0.0000 2.8842 Sc
1.9913 -4.7965 4.9426 Te
1.9913 4.7965 4.9426 Te
0.0000 0.0000 4.7301 Pt
```

=====

The following is a simulated X-ray diffraction stick pattern of GdDy2Sn3Pt3. It was derived from a structure optimized by DFT (GGA-PBE), using Cu Kα X-rays.

Top 10 peaks for 2θ from 15° to 90°, sorted by position:
2θ 23.66, I = 14; 2θ 32.55, I = 82; 2θ 35.42, I = 100; 2θ 36.49, I = 33; 2θ 41.59, I = 48; 2θ 43.04, I = 39; 2θ 44.95, I = 28; 2θ 59.22, I = 17; 2θ 62.89, I = 29; 2θ 66.75, I = 35

```
GdDy2Sn3Pt3
1.0
4.0334 0.0000 0.0000
0.0000 6.5200 3.7576
0.0000 -6.5200 3.7576
Gd Dy Sn Pt
1 2 3 3
Cartesian
0.0000 0.0000 0.0000 Gd
0.0000 -2.6475 2.9326 Dy
0.0000 2.6475 2.9326 Dy
2.0167 0.0000 2.5170 Sn
2.0167 -1.6823 5.4271 Sn
2.0167 1.6823 5.4271 Sn
0.0000 0.0000 4.4492 Pt
2.0167 -4.3331 4.4622 Pt
2.0167 4.3331 4.4622 Pt
```

=====

The following is a simulated X-ray diffraction stick pattern of GdDy2YPt4. It was derived from a structure optimized by DFT (GGA-PBE), using Cu Kα X-rays.

Top 10 peaks for 2θ from 15° to 90°, sorted by position:
2θ 22.09, I = 1; 2θ 25.57, I = 3; 2θ 36.47, I = 100; 2θ 45.07, I = 1; 2θ 52.53, I = 18; 2θ 59.31, I = 1; 2θ 65.64, I = 36; 2θ 77.49, I = 11; 2θ 83.18, I = 1; 2θ 88.80, I = 17

```
GdDy2YPt4
1.0
4.9272 0.0000 0.0000
0.0000 4.9272 0.0000
0.0000 0.0000 6.9688
Gd Dy Y Pt
1 2 1 4
Cartesian
0.0000 0.0000 0.0000 Gd
0.0000 0.0000 3.4844 Dy
2.4636 2.4636 0.0000 Dy
2.4636 2.4636 3.4844 Y
0.0000 2.4636 1.7432 Pt
0.0000 2.4636 5.2255 Pt
2.4636 0.0000 1.7432 Pt
2.4636 0.0000 5.2255 Pt
```